Starting from a DFT-relaxed cell (GGA-PBE, Alexandria), the X-ray diffraction stick pattern of Te2Mo2WS4 was simulated for copper Kα.

Cell lengths 3.3049, 3.3049, 22.1897 Å; angles 90.00, 90.00, 120.00 degrees
Fractional coordinates of all 9 atoms:
Te: 0.0000 0.0000 0.0000
Te: 0.0000 0.0000 0.1738
Mo: 0.0000 0.0000 0.7542
Mo: 0.6667 0.3333 0.4443
W: 0.6667 0.3333 0.0869
S: 0.0000 0.0000 0.3754
S: 0.0000 0.0000 0.5131
S: 0.6667 0.3333 0.6853
S: 0.6667 0.3333 0.8230

Largest 8 diffraction maxima, sorted by position, 2θ from 10° to 80°:
| two_theta | I/Imax |
| --- | --- |
| 11.97 | 1000 |
| 31.25 | 298 |
| 33.57 | 218 |
| 35.29 | 219 |
| 37.39 | 595 |
| 39.83 | 233 |
| 45.54 | 285 |
| 55.62 | 216 |